# 1
This entry pairs a crystal structure of PmY3B4O12 with its calculated powder XRD pattern. Radiation: Cu Ka. Structure: DFT lattice parameters and positions (PBE).

```
data_PmY3B4O12
_chemical_formula_sum 'Pm3 Y9 B12 O36'
_space_group_name_H-M_alt 'R 3 2'
_space_group_IT_number 155
_space_group_name_Hall 'R 3 2"'
_cell_length_a 10.1748
_cell_length_b 10.1748
_cell_length_c 8.5662
_cell_angle_alpha 90.00
_cell_angle_beta 90.00
_cell_angle_gamma 120.00
loop_
_atom_site_label
_atom_site_type_symbol
_atom_site_fract_x
_atom_site_fract_y
_atom_site_fract_z
Pm1 Pm 0.0000 0.0000 0.0000
Y1 Y 0.0000 0.5342 0.0000
B1 B 0.0000 0.0000 0.5000
B2 B 0.0000 0.4648 0.5000
O1 O 0.0000 0.6002 0.5000
O2 O 0.0000 0.8645 0.5000
O3 O 0.0029 0.1970 0.1694
```

Main lines, low angle first (5 to 70 degrees two-theta):
2θ (°)	intensity
22.70	79.7
28.76	13.5
29.08	100.0
35.28	28.5
42.37	21.2
42.59	13.5
46.35	12.9
47.20	28.7
47.89	35.4
56.28	13.1
57.77	13.1
59.56	10.5

# 2
This entry pairs a crystal structure of PrPuB2O8 with its calculated powder XRD pattern. Radiation: Cu Ka. Structure: DFT lattice parameters and positions (PBE).

```
data_PrPuB2O8
_chemical_formula_sum 'Pr1 Pu1 B2 O8'
_space_group_name_H-M_alt 'P -3 m 1'
_space_group_IT_number 164
_space_group_name_Hall '-P 3 2"'
_cell_length_a 5.0394
_cell_length_b 5.0394
_cell_length_c 6.9410
_cell_angle_alpha 90.00
_cell_angle_beta 90.00
_cell_angle_gamma 120.00
loop_
_atom_site_label
_atom_site_type_symbol
_atom_site_fract_x
_atom_site_fract_y
_atom_site_fract_z
Pr1 Pr 0.0000 0.0000 0.0000
Pu1 Pu 0.0000 0.0000 0.5000
B1 B 0.3333 0.6667 0.2242
O1 O 0.1744 0.3488 0.3046
O2 O 0.3333 0.6667 0.0233
```

Main lines, low angle first (5 to 70 degrees two-theta):
2θ (°)	intensity
20.35	100.0
24.09	16.3
25.67	14.1
32.98	60.4
35.63	29.5
41.38	11.9
44.43	35.8
49.33	25.5
55.73	15.4
57.12	13.2
62.32	19.3
65.29	10.9

# 3
This entry pairs a crystal structure of PrSc3B4O12 with its calculated powder XRD pattern. Radiation: Cu Ka. Structure: DFT lattice parameters and positions (PBE).

```
data_PrSc3B4O12
_chemical_formula_sum 'Pr3 Sc9 B12 O36'
_space_group_name_H-M_alt 'R 3 2'
_space_group_IT_number 155
_space_group_name_Hall 'R 3 2"'
_cell_length_a 9.8873
_cell_length_b 9.8873
_cell_length_c 8.0325
_cell_angle_alpha 90.00
_cell_angle_beta 90.00
_cell_angle_gamma 120.00
loop_
_atom_site_label
_atom_site_type_symbol
_atom_site_fract_x
_atom_site_fract_y
_atom_site_fract_z
Pr1 Pr 0.0000 0.0000 0.0000
Sc1 Sc 0.0000 0.5474 0.0000
B1 B 0.0000 0.0000 0.5000
B2 B 0.0000 0.4510 0.5000
O1 O 0.0000 0.5913 0.5000
O2 O 0.0000 0.8596 0.5000
O3 O 0.0191 0.2107 0.1807
```

Main lines, low angle first (5 to 70 degrees two-theta):
2θ (°)	intensity
15.12	37.9
17.94	24.8
23.55	60.6
29.76	27.1
30.52	100.0
35.63	20.9
36.35	22.7
39.57	16.5
43.76	16.8
44.31	18.7
46.49	14.0
50.21	49.5

# 4
This entry pairs a crystal structure of PrSc3B4O12 with its calculated powder XRD pattern. Radiation: Cu Ka. Structure: DFT lattice parameters and positions (PBE).

```
data_PrSc3B4O12
_chemical_formula_sum 'Pr4 Sc12 B16 O48'
_space_group_name_H-M_alt 'C 1 2/c 1'
_space_group_IT_number 15
_space_group_name_Hall '-C 2yc'
_cell_length_a 7.8002
_cell_length_b 9.9150
_cell_length_c 12.1572
_cell_angle_alpha 90.00
_cell_angle_beta 105.38
_cell_angle_gamma 90.00
loop_
_atom_site_label
_atom_site_type_symbol
_atom_site_fract_x
_atom_site_fract_y
_atom_site_fract_z
Pr1 Pr 0.0000 0.0322 0.2500
Sc1 Sc 0.0000 0.4258 0.7500
Sc2 Sc 0.0473 0.2497 0.5245
B1 B 0.2020 0.3030 0.2262
B2 B 0.2460 0.0244 0.0004
O1 O 0.0701 0.2334 0.1491
O2 O 0.0979 0.0890 0.9323
O3 O 0.1120 0.4043 0.9319
O4 O 0.1601 0.2712 0.7047
O5 O 0.2019 0.4415 0.2391
O6 O 0.2484 0.1155 0.4964
```

Main lines, low angle first (5 to 70 degrees two-theta):
2θ (°)	intensity
14.78	27.9
15.12	15.4
18.81	16.1
23.50	38.4
23.66	21.7
29.15	12.3
30.51	100.0
36.21	12.3
37.02	10.9
46.54	10.6
50.07	17.4
50.21	17.3